Entry 1:
For Mg3Fe2Pt2, a DFT-relaxed cell (GGA-PBE, OQMD) gives the computed powder diffractogram in this record (λ = 1.5418 Å (Cu Kα)).

Top 10 peaks for 15° ≤ 2θ ≤ 90°, in order of rising 2θ:
25.5°, 3.490 Å, I = 57
25.6°, 3.475 Å, I = 19
29.6°, 3.019 Å, I = 100
42.3°, 2.138 Å, I = 73
42.4°, 2.132 Å, I = 67
50.1°, 1.822 Å, I = 30
52.4°, 1.745 Å, I = 20
61.4°, 1.510 Å, I = 22
69.5°, 1.352 Å, I = 17
77.4°, 1.234 Å, I = 34

Crystal structure
a b c (Å): 7.3763 7.3763 7.3763
angles (deg): 33.70 33.70 33.70
Positions (direct):
Mg1 0.0000 0.0000 0.0000
Mg2 0.2506 0.2506 0.2506
Mg3 0.7471 0.7471 0.7471
Fe1 0.3853 0.3853 0.3853
Fe2 0.8673 0.8673 0.8673
Pt1 0.1279 0.1279 0.1279
Pt2 0.6203 0.6203 0.6203

***

Entry 2:
For NiSb4S7, a DFT-relaxed cell (GGA-PBE, OQMD) gives the computed powder diffractogram in this record (λ = 1.5418 Å (Cu Kα)).

Top 10 peaks for 15° ≤ 2θ ≤ 90°, in order of rising 2θ:
22.0°, 4.046 Å, I = 54
24.1°, 3.699 Å, I = 81
24.4°, 3.642 Å, I = 47
26.8°, 3.330 Å, I = 100
27.0°, 3.302 Å, I = 44
34.5°, 2.599 Å, I = 42
34.9°, 2.570 Å, I = 34
38.4°, 2.347 Å, I = 52
41.9°, 2.155 Å, I = 38
44.3°, 2.044 Å, I = 28

Crystal structure
a b c (Å): 8.3867 8.3867 11.6073
angles (deg): 132.42 132.42 29.78
Positions (direct):
Ni1 0.0000 0.0000 0.0000
Sb1 0.2166 0.2166 0.6343
Sb2 0.4241 0.4241 0.1586
Sb3 0.5759 0.5759 0.8414
Sb4 0.7834 0.7834 0.3657
S1 0.0865 0.0865 0.7213
S2 0.1893 0.1893 0.1744
S3 0.3626 0.3626 0.5996
S4 0.5000 0.5000 0.0000
S5 0.6374 0.6374 0.4004
S6 0.8107 0.8107 0.8256
S7 0.9135 0.9135 0.2787

***

Entry 3:
For Gd2YCo2B2N3, a DFT-relaxed cell (GGA-PBE, OQMD) gives the computed powder diffractogram in this record (λ = 1.5418 Å (Cu Kα)).

Top 10 peaks for 15° ≤ 2θ ≤ 90°, in order of rising 2θ:
28.9°, 3.093 Å, I = 100
34.1°, 2.627 Å, I = 82
36.1°, 2.489 Å, I = 62
36.3°, 2.472 Å, I = 44
37.5°, 2.399 Å, I = 36
40.8°, 2.214 Å, I = 73
52.3°, 1.748 Å, I = 45
60.9°, 1.522 Å, I = 26
64.0°, 1.455 Å, I = 27
65.2°, 1.431 Å, I = 41

Crystal structure
a b c (Å): 10.2598 10.2598 10.2598
angles (deg): 160.38 160.38 27.88
Positions (direct):
Gd1 0.1244 0.1244 0.0000
Gd2 0.8756 0.8756 0.0000
Y1 0.5000 0.5000 0.0000
Co1 0.2500 0.7500 0.5000
Co2 0.7500 0.2500 0.5000
B1 0.3061 0.3061 0.0000
B2 0.6939 0.6939 0.0000
N1 0.0000 0.0000 0.0000
N2 0.3816 0.3816 0.0000
N3 0.6184 0.6184 0.0000

***

Entry 4:
For RbTmB, a DFT-relaxed cell (GGA-PBE, OQMD) gives the computed powder diffractogram in this record (λ = 1.5418 Å (Cu Kα)).

Top 10 peaks for 15° ≤ 2θ ≤ 90°, in order of rising 2θ:
22.5°, 3.953 Å, I = 20
26.0°, 3.424 Å, I = 100
37.1°, 2.421 Å, I = 90
43.9°, 2.065 Å, I = 11
45.9°, 1.977 Å, I = 29
53.5°, 1.712 Å, I = 15
60.5°, 1.531 Å, I = 39
66.9°, 1.398 Å, I = 32
79.1°, 1.210 Å, I = 10
85.0°, 1.141 Å, I = 19

Crystal structure
a b c (Å): 6.8472 6.8472 6.8472
angles (deg): 90.00 90.00 90.00
Positions (direct):
Rb1 0.0000 0.0000 0.0000
Rb2 0.0000 0.5000 0.5000
Rb3 0.5000 0.0000 0.5000
Rb4 0.5000 0.5000 0.0000
Tm1 0.0000 0.0000 0.5000
Tm2 0.0000 0.5000 0.0000
Tm3 0.5000 0.0000 0.0000
Tm4 0.5000 0.5000 0.5000
B1 0.2500 0.2500 0.2500
B2 0.2500 0.7500 0.7500
B3 0.7500 0.2500 0.7500
B4 0.7500 0.7500 0.2500

***

Entry 5:
For LuTe3PbAu, a DFT-relaxed cell (GGA-PBE, OQMD) gives the computed powder diffractogram in this record (λ = 1.5418 Å (Cu Kα)).

Top 10 peaks for 15° ≤ 2θ ≤ 90°, in order of rising 2θ:
27.7°, 3.219 Å, I = 35
28.1°, 3.181 Å, I = 17
29.1°, 3.064 Å, I = 100
34.3°, 2.617 Å, I = 35
35.1°, 2.553 Å, I = 25
38.8°, 2.318 Å, I = 18
39.3°, 2.295 Å, I = 15
40.0°, 2.254 Å, I = 17
41.0°, 2.201 Å, I = 18
42.4°, 2.134 Å, I = 29

Crystal structure
a b c (Å): 10.0581 10.0581 8.8109
angles (deg): 100.24 100.24 24.49
Positions (direct):
Lu1 0.1598 0.1598 0.0921
Lu2 0.8402 0.8402 0.9079
Te1 0.0000 0.0000 0.0000
Te2 0.3103 0.3103 0.6565
Te3 0.3210 0.3210 0.1402
Te4 0.5000 0.5000 0.5000
Te5 0.6790 0.6790 0.8598
Te6 0.6897 0.6897 0.3435
Pb1 0.1256 0.1256 0.5782
Pb2 0.8744 0.8744 0.4218
Au1 0.4478 0.4478 0.7875
Au2 0.5522 0.5522 0.2125

***

Entry 6:
For K2OsBr6, a DFT-relaxed cell (GGA-PBE, OQMD) gives the computed powder diffractogram in this record (λ = 1.5418 Å (Cu Kα)).

Top 10 peaks for 15° ≤ 2θ ≤ 90°, in order of rising 2θ:
16.7°, 5.324 Å, I = 39
16.9°, 5.235 Å, I = 72
28.2°, 3.161 Å, I = 44
29.4°, 3.039 Å, I = 79
33.7°, 2.662 Å, I = 54
34.3°, 2.617 Å, I = 100
45.0°, 2.016 Å, I = 27
48.8°, 1.866 Å, I = 69
49.2°, 1.851 Å, I = 33
61.0°, 1.520 Å, I = 33

Crystal structure
a b c (Å): 7.4664 7.4664 7.4664
angles (deg): 120.56 120.56 89.03
Positions (direct):
K1 0.2500 0.7500 0.5000
K2 0.7500 0.2500 0.5000
Os1 0.0000 0.0000 0.0000
Br1 0.2206 0.7439 0.9646
Br2 0.2351 0.2351 0.0000
Br3 0.2561 0.2206 0.4767
Br4 0.7439 0.7794 0.5233
Br5 0.7649 0.7649 0.0000
Br6 0.7794 0.2561 0.0354

***

Entry 7:
For Hf2CoIr, a DFT-relaxed cell (GGA-PBE, OQMD) gives the computed powder diffractogram in this record (λ = 1.5418 Å (Cu Kα)).

Top 10 peaks for 15° ≤ 2θ ≤ 90°, in order of rising 2θ:
23.9°, 3.722 Å, I = 11
27.7°, 3.223 Å, I = 4
39.5°, 2.279 Å, I = 100
46.7°, 1.944 Å, I = 6
57.2°, 1.612 Å, I = 17
62.8°, 1.479 Å, I = 2
64.7°, 1.442 Å, I = 1
71.7°, 1.316 Å, I = 35
76.8°, 1.241 Å, I = 2
85.1°, 1.140 Å, I = 11

Crystal structure
a b c (Å): 4.5567 13.6709 6.4516
angles (deg): 90.00 90.00 90.00
Positions (direct):
Hf1 0.0000 0.0000 0.2500
Hf2 0.0000 0.0000 0.7500
Hf3 0.0013 0.3333 0.2500
Hf4 0.0013 0.3333 0.7500
Hf5 0.4987 0.8333 0.2500
Hf6 0.4987 0.8333 0.7500
Hf7 0.5000 0.5000 0.2500
Hf8 0.5000 0.5000 0.7500
Hf9 0.5013 0.1667 0.2500
Hf10 0.5013 0.1667 0.7500
Hf11 0.9987 0.6667 0.2500
Hf12 0.9987 0.6667 0.7500
Co1 0.0000 0.5000 0.0000
Co2 0.0023 0.1666 0.0000
Co3 0.4977 0.6666 0.5000
Co4 0.5000 0.0000 0.5000
Co5 0.5023 0.3334 0.5000
Co6 0.9977 0.8334 0.0000
Ir1 0.0000 0.5000 0.5000
Ir2 0.0014 0.1667 0.5000
Ir3 0.4986 0.6667 0.0000
Ir4 0.5000 0.0000 0.0000
Ir5 0.5014 0.3333 0.0000
Ir6 0.9986 0.8333 0.5000

***

Entry 8:
For Ba2AcReO6, a DFT-relaxed cell (GGA-PBE, OQMD) gives the computed powder diffractogram in this record (λ = 1.5418 Å (Cu Kα)).

Top 10 peaks for 15° ≤ 2θ ≤ 90°, in order of rising 2θ:
29.0°, 3.083 Å, I = 100
29.3°, 3.044 Å, I = 52
40.9°, 2.209 Å, I = 14
42.0°, 2.152 Å, I = 25
51.1°, 1.788 Å, I = 22
51.8°, 1.765 Å, I = 43
60.0°, 1.541 Å, I = 17
82.5°, 1.169 Å, I = 12
83.4°, 1.159 Å, I = 13
84.0°, 1.152 Å, I = 11

Crystal structure
a b c (Å): 6.1675 6.1675 6.1675
angles (deg): 120.86 120.86 88.52
Positions (direct):
Ba1 0.2500 0.7500 0.5000
Ba2 0.7500 0.2500 0.5000
Ac1 0.0000 0.0000 0.0000
Re1 0.5000 0.5000 0.0000
O1 0.2224 0.3319 0.5543
O2 0.2727 0.2727 0.0000
O3 0.3319 0.7776 0.1095
O4 0.6681 0.2224 0.8905
O5 0.7273 0.7273 0.0000
O6 0.7776 0.6681 0.4457

***

Entry 9:
For SmSbN2O, a DFT-relaxed cell (GGA-PBE, OQMD) gives the computed powder diffractogram in this record (λ = 1.5418 Å (Cu Kα)).

Top 10 peaks for 15° ≤ 2θ ≤ 90°, in order of rising 2θ:
30.8°, 2.903 Å, I = 18
31.6°, 2.835 Å, I = 100
44.6°, 2.032 Å, I = 8
44.7°, 2.027 Å, I = 8
45.8°, 1.981 Å, I = 10
51.2°, 1.785 Å, I = 6
55.2°, 1.663 Å, I = 10
56.2°, 1.637 Å, I = 25
56.7°, 1.624 Å, I = 9
65.8°, 1.418 Å, I = 7

Crystal structure
a b c (Å): 8.1083 7.9236 11.3490
angles (deg): 90.00 134.26 90.00
Positions (direct):
Sm1 0.0508 0.2505 0.0212
Sm2 0.0508 0.2495 0.5212
Sm3 0.4476 0.7449 0.4682
Sm4 0.4476 0.7551 0.9682
Sm5 0.5524 0.2449 0.0318
Sm6 0.5524 0.2551 0.5318
Sm7 0.9492 0.7505 0.4788
Sm8 0.9492 0.7495 0.9788
Sb1 0.0181 0.0042 0.2564
Sb2 0.0181 0.4958 0.7564
Sb3 0.4972 0.5018 0.7567
Sb4 0.4972 0.9982 0.2567
Sb5 0.5028 0.0018 0.7433
Sb6 0.5028 0.4982 0.2433
Sb7 0.9819 0.5042 0.2436
Sb8 0.9819 0.9958 0.7436
N1 0.0384 0.7462 0.8195
N2 0.0384 0.7538 0.3195
N3 0.1957 0.5532 0.6938
N4 0.1957 0.9468 0.1938
N5 0.2906 0.0624 0.4991
N6 0.2906 0.4376 0.9991
N7 0.4628 0.2488 0.7827
N8 0.4628 0.2512 0.2827
N9 0.5372 0.7488 0.7173
N10 0.5372 0.7512 0.2173
N11 0.7094 0.5624 0.0009
N12 0.7094 0.9376 0.5009
N13 0.8043 0.0532 0.8062
N14 0.8043 0.4468 0.3062
N15 0.9616 0.2462 0.6805
N16 0.9616 0.2538 0.1805
O1 0.2101 0.5517 0.2091
O2 0.2101 0.9483 0.7091
O3 0.3047 0.0423 0.9985
O4 0.3047 0.4577 0.4985
O5 0.6953 0.5423 0.5015
O6 0.6953 0.9577 0.0015
O7 0.7899 0.0517 0.2909
O8 0.7899 0.4483 0.7909

***

Entry 10:
For HoPSe3S, a DFT-relaxed cell (GGA-PBE, OQMD) gives the computed powder diffractogram in this record (λ = 1.5418 Å (Cu Kα)).

Top 10 peaks for 15° ≤ 2θ ≤ 90°, in order of rising 2θ:
17.5°, 5.072 Å, I = 48
28.0°, 3.188 Å, I = 100
28.8°, 3.102 Å, I = 72
29.9°, 2.987 Å, I = 91
30.8°, 2.901 Å, I = 98
31.5°, 2.836 Å, I = 74
34.2°, 2.622 Å, I = 54
36.4°, 2.468 Å, I = 69
37.3°, 2.413 Å, I = 51
49.1°, 1.857 Å, I = 49

Crystal structure
a b c (Å): 6.6321 6.8929 7.8578
angles (deg): 87.76 87.19 83.28
Positions (direct):
Ho1 0.2033 0.2088 0.0583
Ho2 0.7967 0.7912 0.9417
P1 0.3146 0.7566 0.8165
P2 0.6854 0.2434 0.1835
Se1 0.0900 0.0169 0.7542
Se2 0.1230 0.5138 0.7809
Se3 0.3831 0.7785 0.0912
Se4 0.6169 0.2215 0.9088
Se5 0.8770 0.4862 0.2191
Se6 0.9100 0.9831 0.2458
S1 0.4259 0.2633 0.3299
S2 0.5741 0.7367 0.6701

***

Entry 11:
For Li2Sc2NiSn2Pd, a DFT-relaxed cell (GGA-PBE, OQMD) gives the computed powder diffractogram in this record (λ = 1.5418 Å (Cu Kα)).

Top 10 peaks for 15° ≤ 2θ ≤ 90°, in order of rising 2θ:
24.0°, 3.711 Å, I = 46
27.8°, 3.214 Å, I = 11
39.7°, 2.273 Å, I = 100
46.9°, 1.938 Å, I = 24
57.3°, 1.609 Å, I = 5
57.4°, 1.606 Å, I = 11
63.0°, 1.475 Å, I = 10
64.9°, 1.437 Å, I = 4
72.0°, 1.312 Å, I = 33
85.4°, 1.136 Å, I = 11

Crystal structure
a b c (Å): 4.5426 4.5426 6.4346
angles (deg): 90.00 90.00 90.00
Positions (direct):
Li1 0.0000 0.0000 0.0000
Li2 0.5000 0.5000 0.5000
Sc1 0.0000 0.5000 0.7432
Sc2 0.5000 0.0000 0.2568
Ni1 0.0000 0.0000 0.5000
Sn1 0.0000 0.5000 0.2583
Sn2 0.5000 0.0000 0.7417
Pd1 0.5000 0.5000 0.0000

***

Entry 12:
For RbTl3In3Au4, a DFT-relaxed cell (GGA-PBE, OQMD) gives the computed powder diffractogram in this record (λ = 1.5418 Å (Cu Kα)).

Top 10 peaks for 15° ≤ 2θ ≤ 90°, in order of rising 2θ:
28.6°, 3.118 Å, I = 22
31.2°, 2.863 Å, I = 99
32.8°, 2.732 Å, I = 35
38.1°, 2.361 Å, I = 100
38.4°, 2.346 Å, I = 41
42.2°, 2.143 Å, I = 30
43.4°, 2.086 Å, I = 32
51.3°, 1.780 Å, I = 20
59.3°, 1.559 Å, I = 26
67.8°, 1.381 Å, I = 28

Crystal structure
a b c (Å): 8.3457 8.3457 4.6918
angles (deg): 90.00 90.00 120.00
Positions (direct):
Rb1 0.0000 0.0000 0.0000
Tl1 0.0713 0.5357 0.0000
Tl2 0.4643 0.5357 0.0000
Tl3 0.4643 0.9287 0.0000
In1 0.4006 0.2003 0.5000
In2 0.7997 0.2003 0.5000
In3 0.7997 0.5994 0.5000
Au1 0.1974 0.3948 0.5000
Au2 0.1974 0.8026 0.5000
Au3 0.6052 0.8026 0.5000
Au4 0.6667 0.3333 0.0000